No. 1
Calculated X-ray powder pattern of Li2BSbO4 for Cu Kα (weighted mean of Kα1 and Kα2), from a DFT-relaxed cell (PBE, the Materials Project).
Intensities are scaled so that the largest is 100.

a = 7.544 Å, b = 4.938 Å, c = 10.345 Å
α = 90.00°, β = 97.61°, γ = 90.00°
Sites, in units of the cell vectors:
Li 0.003 0.191 0.328
Li 0.003 0.309 0.828
Li 0.200 0.207 0.584
Li 0.200 0.293 0.084
Li 0.800 0.707 0.916
Li 0.800 0.793 0.416
Li 0.997 0.691 0.172
Li 0.997 0.809 0.672
B 0.153 0.674 0.441
B 0.153 0.826 0.941
B 0.847 0.174 0.059
B 0.847 0.326 0.559
Sb 0.497 0.236 0.876
Sb 0.497 0.264 0.376
Sb 0.503 0.736 0.624
Sb 0.503 0.764 0.124
O 0.032 0.699 0.853
O 0.032 0.801 0.353
O 0.211 0.090 0.920
O 0.211 0.410 0.420
O 0.219 0.699 0.062
O 0.219 0.801 0.562
O 0.453 0.145 0.184
O 0.453 0.355 0.684
O 0.547 0.645 0.316
O 0.547 0.855 0.816
O 0.781 0.199 0.438
O 0.781 0.301 0.938
O 0.789 0.590 0.580
O 0.789 0.910 0.080
O 0.968 0.199 0.647
O 0.968 0.301 0.147

Peak list (10 most intense, 10 to 90 degrees two-theta, by angle)
- 2θ = 11.84°, d = 7.477 Å, intensity 100.0
- 2θ = 23.80°, d = 3.739 Å, intensity 29.0
- 2θ = 25.04°, d = 3.557 Å, intensity 43.0
- 2θ = 26.75°, d = 3.333 Å, intensity 56.3
- 2θ = 28.77°, d = 3.103 Å, intensity 32.4
- 2θ = 33.13°, d = 2.704 Å, intensity 14.8
- 2θ = 35.00°, d = 2.563 Å, intensity 16.8
- 2θ = 36.03°, d = 2.492 Å, intensity 14.8
- 2θ = 36.40°, d = 2.468 Å, intensity 27.9
- 2θ = 42.32°, d = 2.135 Å, intensity 14.5


No. 2
Calculated X-ray powder pattern of K2TmF5 for Cu Kα (weighted mean of Kα1 and Kα2), from a DFT-relaxed cell (PBE, the Materials Project).
Intensities are scaled so that the largest is 100.

a = 10.976 Å, b = 7.203 Å, c = 6.666 Å
α = 90.00°, β = 90.00°, γ = 90.00°
Sites, in units of the cell vectors:
K 0.172 0.002 0.029
K 0.172 0.498 0.029
K 0.328 0.502 0.529
K 0.328 0.998 0.529
K 0.672 0.002 0.471
K 0.672 0.498 0.471
K 0.828 0.502 0.971
K 0.828 0.998 0.971
Tm 0.001 0.250 0.564
Tm 0.499 0.750 0.064
Tm 0.501 0.250 0.936
Tm 0.999 0.750 0.436
F 0.014 0.250 0.888
F 0.076 0.535 0.642
F 0.076 0.965 0.642
F 0.160 0.250 0.371
F 0.188 0.750 0.339
F 0.312 0.250 0.839
F 0.340 0.750 0.871
F 0.424 0.035 0.142
F 0.424 0.465 0.142
F 0.486 0.750 0.388
F 0.514 0.250 0.612
F 0.576 0.535 0.858
F 0.576 0.965 0.858
F 0.660 0.250 0.129
F 0.688 0.750 0.161
F 0.812 0.250 0.661
F 0.840 0.750 0.629
F 0.924 0.035 0.358
F 0.924 0.465 0.358
F 0.986 0.750 0.112

Peak list (10 most intense, 10 to 90 degrees two-theta, by angle)
- 2θ = 15.55°, d = 5.697 Å, intensity 100.0
- 2θ = 16.15°, d = 5.488 Å, intensity 50.7
- 2θ = 26.75°, d = 3.333 Å, intensity 25.1
- 2θ = 27.82°, d = 3.207 Å, intensity 56.7
- 2θ = 29.34°, d = 3.044 Å, intensity 69.8
- 2θ = 29.67°, d = 3.011 Å, intensity 42.7
- 2θ = 40.37°, d = 2.234 Å, intensity 30.9
- 2θ = 41.37°, d = 2.183 Å, intensity 22.7
- 2θ = 45.82°, d = 1.980 Å, intensity 22.1
- 2θ = 50.58°, d = 1.805 Å, intensity 26.1